Entry 1:
Calculated XRD peak list
Compound: Te3MoWS
Radiation: Cu Ka
Structure: DFT lattice parameters and positions (PBE)
Neutral-atom scattering factors, no anomalous dispersion.

Lattice parameters (Å, degrees): 3.456 3.456 39.338 90.00 90.00 120.00
Fractional positions:
Te: 0.000 0.000 0.000
Te: 0.000 0.000 0.094
Te: 0.000 0.000 0.376
Te: 0.000 0.000 0.470
Te: 0.333 0.667 0.188
Te: 0.333 0.667 0.282
Mo: 0.000 0.000 0.859
Mo: 0.333 0.667 0.423
W: 0.000 0.000 0.235
W: 0.333 0.667 0.047
S: 0.333 0.667 0.822
S: 0.333 0.667 0.897

Most intense lines, 2θ from 10° to 90°, by angle:
7.868 Å, 2θ 11.2, I 98, (0 0 5)
2.991 Å, 2θ 29.9, I 57, (1 0 0)
2.642 Å, 2θ 33.9, I 19, (1 0 7)
2.557 Å, 2θ 35.1, I 100, (1 0 8)
2.470 Å, 2θ 36.4, I 25, (0 1 9)
2.128 Å, 2θ 42.5, I 58, (1 0 13)
2.049 Å, 2θ 44.2, I 21, (0 1 14)
1.728 Å, 2θ 53.0, I 43, (1 1 0)
1.432 Å, 2θ 65.2, I 16, (2 0 8)
1.270 Å, 2θ 74.7, I 19, (1 1 21)


Entry 2:
Calculated XRD peak list
Compound: Ca2Si
Radiation: Cu Ka
Structure: DFT lattice parameters and positions (PBE)
Neutral-atom scattering factors, no anomalous dispersion.

Lattice parameters (Å, degrees): 7.169 7.169 7.169 90.00 90.00 90.00
Fractional positions:
Ca: 0.250 0.250 0.250
Ca: 0.250 0.250 0.750
Ca: 0.250 0.750 0.250
Ca: 0.250 0.750 0.750
Ca: 0.750 0.250 0.250
Ca: 0.750 0.250 0.750
Ca: 0.750 0.750 0.250
Ca: 0.750 0.750 0.750
Si: 0.000 0.000 0.000
Si: 0.000 0.500 0.500
Si: 0.500 0.000 0.500
Si: 0.500 0.500 0.000

Most intense lines, 2θ from 10° to 90°, by angle:
4.139 Å, 2θ 21.5, I 17, (1 1 1)
3.584 Å, 2θ 24.8, I 32, (2 0 0)
2.535 Å, 2θ 35.4, I 100, (2 2 0)
2.161 Å, 2θ 41.8, I 8, (3 1 1)
2.069 Å, 2θ 43.7, I 8, (2 2 2)
1.792 Å, 2θ 51.0, I 16, (4 0 0)
1.603 Å, 2θ 57.5, I 10, (4 2 0)
1.463 Å, 2θ 63.6, I 32, (4 2 2)
1.267 Å, 2θ 74.9, I 9, (4 4 0)
1.133 Å, 2θ 85.7, I 13, (6 2 0)


Entry 3:
Calculated XRD peak list
Compound: K2UP3Se9
Radiation: Cu Ka
Structure: DFT lattice parameters and positions (PBE)
Neutral-atom scattering factors, no anomalous dispersion.

Lattice parameters (Å, degrees): 10.245 10.617 16.783 90.04 107.29 91.68
Fractional positions:
K: 0.029 0.254 0.034
K: 0.248 0.314 0.367
K: 0.296 0.831 0.650
K: 0.448 0.740 0.951
K: 0.552 0.260 0.049
K: 0.704 0.169 0.350
K: 0.752 0.686 0.633
K: 0.971 0.746 0.966
U: 0.194 0.778 0.276
U: 0.223 0.280 0.668
U: 0.777 0.720 0.332
U: 0.806 0.222 0.724
P: 0.049 0.957 0.773
P: 0.073 0.576 0.491
P: 0.218 0.086 0.849
P: 0.276 0.568 0.122
P: 0.463 0.498 0.219
P: 0.490 0.928 0.446
P: 0.510 0.072 0.554
P: 0.537 0.502 0.781
P: 0.724 0.432 0.878
P: 0.782 0.914 0.151
P: 0.927 0.424 0.509
P: 0.951 0.043 0.227
Se: 0.006 0.938 0.351
Se: 0.012 0.243 0.486
Se: 0.031 0.570 0.352
Se: 0.106 0.270 0.826
Se: 0.108 0.763 0.778
Se: 0.113 0.004 0.167
Se: 0.124 0.520 0.190
Se: 0.251 0.483 0.001
Se: 0.276 0.509 0.568
Se: 0.285 0.032 0.979
Se: 0.290 0.776 0.126
Se: 0.292 0.120 0.537
Se: 0.348 0.445 0.813
Se: 0.357 0.770 0.465
Se: 0.373 0.086 0.780
Se: 0.374 0.009 0.324
Se: 0.424 0.296 0.225
Se: 0.466 0.625 0.328
Se: 0.534 0.375 0.672
Se: 0.576 0.704 0.775
Se: 0.626 0.991 0.676
Se: 0.627 0.914 0.220
Se: 0.643 0.230 0.535
Se: 0.652 0.555 0.187
Se: 0.708 0.880 0.463
Se: 0.710 0.224 0.874
Se: 0.715 0.968 0.021
Se: 0.724 0.491 0.432
Se: 0.749 0.517 0.999
Se: 0.876 0.480 0.810
Se: 0.887 0.996 0.833
Se: 0.892 0.237 0.222
Se: 0.894 0.730 0.174
Se: 0.969 0.430 0.648
Se: 0.988 0.757 0.514
Se: 0.994 0.062 0.649

Most intense lines, 2θ from 10° to 90°, by angle:
8.808 Å, 2θ 10.0, I 100, (0 1 1)
8.012 Å, 2θ 11.0, I 57, (0 0 2)
3.307 Å, 2θ 27.0, I 29, (2 2 1)
3.082 Å, 2θ 29.0, I 30, (2 -2 2)
3.045 Å, 2θ 29.3, I 32, (-2 2 4)
3.003 Å, 2θ 29.7, I 62, (2 2 2)
2.871 Å, 2θ 31.1, I 31, (2 3 -1)
2.832 Å, 2θ 31.6, I 29, (2 3 -2)
2.732 Å, 2θ 32.8, I 39, (0 2 5)
2.525 Å, 2θ 35.6, I 30, (4 0 -3)


Entry 4:
Calculated XRD peak list
Compound: Ba
Radiation: Cu Ka
Structure: DFT lattice parameters and positions (PBE)
Neutral-atom scattering factors, no anomalous dispersion.

Lattice parameters (Å, degrees): 4.285 4.285 3.975 90.00 90.00 120.00
Fractional positions:
Ba: 0.000 0.000 0.000

Most intense lines, 2θ from 10° to 90°, by angle:
3.975 Å, 2θ 22.4, I 39, (0 0 1)
3.711 Å, 2θ 24.0, I 100, (1 0 0)
2.713 Å, 2θ 33.0, I 88, (1 0 1)
2.143 Å, 2θ 42.2, I 22, (1 1 0)
1.886 Å, 2θ 48.3, I 30, (1 1 1)
1.856 Å, 2θ 49.1, I 14, (2 0 0)
1.752 Å, 2θ 52.2, I 24, (1 0 2)
1.681 Å, 2θ 54.6, I 21, (2 0 1)
1.457 Å, 2θ 63.9, I 13, (1 1 2)
1.323 Å, 2θ 71.3, I 19, (2 1 1)


Entry 5:
Calculated XRD peak list
Compound: InGaSe2
Radiation: Cu Ka
Structure: DFT lattice parameters and positions (PBE)
Neutral-atom scattering factors, no anomalous dispersion.

Lattice parameters (Å, degrees): 8.287 8.287 6.336 90.00 90.00 90.00
Fractional positions:
In: 0.250 0.250 0.145
In: 0.250 0.250 0.645
In: 0.750 0.750 0.355
In: 0.750 0.750 0.855
Ga: 0.250 0.750 0.000
Ga: 0.250 0.750 0.500
Ga: 0.750 0.250 0.000
Ga: 0.750 0.250 0.500
Se: 0.089 0.589 0.250
Se: 0.089 0.911 0.750
Se: 0.411 0.589 0.750
Se: 0.411 0.911 0.250
Se: 0.589 0.089 0.750
Se: 0.589 0.411 0.250
Se: 0.911 0.089 0.250
Se: 0.911 0.411 0.750

Most intense lines, 2θ from 10° to 90°, by angle:
4.143 Å, 2θ 21.4, I 46, (2 0 0)
3.199 Å, 2θ 27.9, I 100, (2 1 1)
2.959 Å, 2θ 30.2, I 35, (1 0 2)
2.930 Å, 2θ 30.5, I 65, (2 2 0)
2.621 Å, 2θ 34.2, I 32, (3 1 0)
2.517 Å, 2θ 35.7, I 23, (2 0 2)
2.408 Å, 2θ 37.3, I 40, (2 1 2)
2.019 Å, 2θ 44.9, I 63, (3 1 2)
1.853 Å, 2θ 49.2, I 38, (4 2 0)
1.835 Å, 2θ 49.7, I 20, (2 1 3)